The following is a simulated PXRD pattern of Ho2MnSe2O2. It was derived from a PBE+U-relaxed structure, using a wavelength of 1.5418 Å.

Crystal structure
Unit cell a=11.4716 b=3.7741 c=6.9879 alpha=90.00 beta=122.11 gamma=90.00
Space group C2/m (No. 12)
Symmetry-distinct sites (fractional):
Ho1 0.1905 0.0000 0.2515 (multiplicity 4)
Mn1 0.0000 0.0000 0.5000 (multiplicity 2)
Se1 0.0677 0.5000 0.8354 (multiplicity 4)
O1 0.2035 0.0000 0.5845 (multiplicity 4)

The 10 most intense peaks (15° ≤ 2θ ≤ 90°), by angle:
index, 2θ (°), I (rel.)
1 1 -1, 26.87, 27
0 0 2, 30.20, 27
4 0 -1, 31.51, 61
1 1 1, 32.00, 100
3 1 0, 36.56, 28
3 1 -2, 36.93, 67
2 0 -3, 39.09, 21
0 2 0, 48.23, 22
5 1 0, 53.00, 23
6 0 -4, 57.85, 21